This entry pairs a crystal structure of DyV5 with its simulated powder diffractogram. Radiation: Cu Kα, 1.54184 Å. Structure: a DFT-relaxed cell (PBE, Alexandria).
Kinematic intensities with the Lorentz-polarization factor, no thermal factor.

Structure:
```
data_DyV5
_chemical_formula_sum 'Dy2 V10'
_cell_length_a 4.577
_cell_length_b 13.379
_cell_length_c 3.126
_cell_angle_alpha 90.00
_cell_angle_beta 90.00
_cell_angle_gamma 90.00
_space_group_name_H-M_alt 'P 1'
_space_group_IT_number 1
_space_group_name_Hall 'P 1'
loop_
_atom_site_label
_atom_site_fract_x
_atom_site_fract_y
_atom_site_fract_z
_atom_site_occupancy
Dy1 0.000 0.000 0.000 1
Dy2 0.500 0.500 0.000 1
V1 0.000 0.191 0.500 1
V2 0.000 0.329 0.000 1
V3 0.000 0.500 0.500 1
V4 0.000 0.671 0.000 1
V5 0.000 0.809 0.500 1
V6 0.500 0.000 0.500 1
V7 0.500 0.171 0.000 1
V8 0.500 0.309 0.500 1
V9 0.500 0.691 0.500 1
V10 0.500 0.829 0.000 1
```

Main lines, by angle (5° ≤ 2θ ≤ 70°):
Position (°2θ)  I/Imax
13.2  114
20.5  135
26.7  126
27.9  99
31.6  85
35.4  119
39.4  244
40.4  1000
57.7  117
60.2  81